(1)
For MgFe4As4S4, DFT lattice parameters and positions (GGA-PBE) gives the simulated powder diffraction line list in this record (copper Kα).
Peak positions follow from Bragg's law for the DFT cell and can differ from measured ones.

The 6 most intense peaks (2θ from 5° to 70°), low angle first:
2theta	intensity	index
23.86	51.0	1 -1 1
35.06	62.3	1 0 2
35.31	67.8	1 -2 0
36.23	100.0	2 1 -1
47.76	44.1	1 1 -3
48.23	66.9	1 3 -1

Structure:
Lattice parameters (Å, degrees): 5.748 5.993 6.050 109.00 90.14 90.09
Space group P-1 (No. 2)
Asymmetric unit:
Mg  0.000  0.000  0.000 x1
Fe  0.004  0.728  0.231 x2
Fe  0.496  0.721  0.716 x2
As  0.157  0.143  0.405 x2
As  0.393  0.150  0.862 x2
S  0.147  0.621  0.826 x2
S  0.358  0.642  0.339 x2

(2)
For MnFeAs, DFT lattice parameters and positions (GGA-PBE) gives the simulated powder diffraction line list in this record (copper Kα).
Peak positions follow from Bragg's law for the DFT cell and can differ from measured ones.

The 6 most intense peaks (2θ from 5° to 70°), low angle first:
2theta	intensity	index
14.96	18.7	0 0 1
34.13	22.8	1 1 0
37.45	45.2	1 1 1
46.20	100.0	1 1 2
49.04	52.5	2 0 0
69.49	11.8	2 0 3

Structure:
Lattice parameters (Å, degrees): 3.715 3.715 5.920 90.00 90.00 90.00
Space group P4/nmm (No. 129, origin choice 2)
Asymmetric unit:
Mn  0.250  0.250  0.178 x2
Fe  0.250  0.750  0.500 x2
As  0.250  0.250  0.751 x2

(3)
For MnFeAs, DFT lattice parameters and positions (GGA-PBE) gives the simulated powder diffraction line list in this record (copper Kα).
Peak positions follow from Bragg's law for the DFT cell and can differ from measured ones.

The 6 most intense peaks (2θ from 5° to 70°), low angle first:
2theta	intensity	index
38.84	84.3	1 1 1
42.39	100.0	2 0 1
44.18	36.6	2 1 0
50.48	44.3	3 0 0
51.88	45.2	2 1 1
53.09	28.4	0 0 2

Structure:
Lattice parameters (Å, degrees): 6.2631 6.2631 3.4500 90.00 90.00 120.00
Space group P-62m (No. 189)
Asymmetric unit:
Mn  0.0000  0.5945  0.0000 x3
Fe  0.0000  0.2550  0.5000 x3
As  0.0000  0.0000  0.0000 x1
As  0.3333  0.6667  0.5000 x2